# 1
Calculated powder diffractogram of Ba4Zn3Cd for Cu Ka, from a structure optimized by DFT (GGA-PBE).

Crystal structure
a b c (Å): 4.754 5.274 11.889
angles (deg): 90.00 90.00 90.00
Space group Pmm2 (No. 25)
Inequivalent atoms, fractional coordinates:
Ba  0.000  0.000  0.000 (multiplicity 1)
Ba  0.000  0.500  0.486 (multiplicity 1)
Ba  0.500  0.000  0.697 (multiplicity 1)
Ba  0.500  0.500  0.202 (multiplicity 1)
Zn  0.000  0.000  0.299 (multiplicity 1)
Zn  0.500  0.000  0.393 (multiplicity 1)
Zn  0.500  0.500  0.908 (multiplicity 1)
Cd  0.000  0.500  0.791 (multiplicity 1)

Top 10 peaks for 10° ≤ 2θ ≤ 80°, by intensity:
2theta, Rel. int., hkl
26.3, 100, 1 1 1
34.0, 74, 0 2 0
28.2, 67, 0 1 3
47.8, 30, 2 1 3
35.6, 28, 1 0 4
37.9, 25, 2 0 0
24.0, 21, 1 0 2
50.1, 21, 1 2 4
51.8, 20, 2 2 0
61.7, 13, 1 2 6

# 2
Calculated powder diffractogram of Ba2Zn5Cd12 for Cu Ka, from a structure optimized by DFT (GGA-PBE).

Crystal structure
a b c (Å): 10.1718 10.1718 14.7157
angles (deg): 90.00 90.00 120.00
Space group R-3m (No. 166, hexagonal axes)
Inequivalent atoms, fractional coordinates:
Ba  0.0000  0.0000  0.1634 (multiplicity 6)
Zn  0.0000  0.0000  0.4054 (multiplicity 6)
Zn  0.0000  0.5000  0.0000 (multiplicity 9)
Cd  0.0000  0.2908  0.5000 (multiplicity 18)
Cd  0.0064  0.5032  0.3481 (multiplicity 18)

Top 10 peaks for 10° ≤ 2θ ≤ 80°, by intensity:
2theta, Rel. int., hkl
35.6, 100, 3 0 3
39.9, 53, 2 2 3
36.7, 49, 0 0 6
35.3, 47, 2 2 0
31.7, 33, 0 2 4
30.4, 28, 3 0 0
40.9, 18, 1 1 6
63.3, 18, 6 0 0
65.3, 17, 3 0 9
57.5, 14, 3 3 3

# 3
Calculated powder diffractogram of BaZn2Cd6 for Cu Ka, from a structure optimized by DFT (GGA-PBE).

Crystal structure
a b c (Å): 4.675 4.675 9.871
angles (deg): 90.00 90.00 90.00
Space group P4/mmm (No. 123)
Inequivalent atoms, fractional coordinates:
Ba  0.000  0.000  0.000 (multiplicity 1)
Zn  0.500  0.500  0.130 (multiplicity 2)
Cd  0.000  0.000  0.500 (multiplicity 1)
Cd  0.000  0.500  0.290 (multiplicity 4)
Cd  0.500  0.500  0.500 (multiplicity 1)

Top 10 peaks for 10° ≤ 2θ ≤ 80°, by intensity:
2theta, Rel. int., hkl
32.6, 100, 1 1 2
38.5, 81, 2 0 0
66.0, 24, 3 1 2
55.6, 17, 2 2 0
54.1, 11, 2 0 4
61.5, 10, 2 0 5
33.3, 10, 1 0 3
69.7, 9, 3 1 3
36.4, 7, 0 0 4
41.4, 7, 1 0 4

# 4
Calculated powder diffractogram of BaZn2Cd9 for Cu Ka, from a structure optimized by DFT (GGA-PBE).

Crystal structure
a b c (Å): 11.928 11.928 7.751
angles (deg): 90.00 90.00 90.00
Space group I4_1/amd (No. 141, origin choice 2)
Inequivalent atoms, fractional coordinates:
Ba  0.000  0.250  0.375 (multiplicity 4)
Zn  0.000  0.000  0.000 (multiplicity 8)
Cd  0.000  0.250  0.875 (multiplicity 4)
Cd  0.122  0.049  0.681 (multiplicity 32)

Top 10 peaks for 10° ≤ 2θ ≤ 80°, by intensity:
2theta, Rel. int., hkl
33.1, 100, 3 1 2
39.5, 86, 5 0 1
33.6, 68, 4 2 0
59.8, 29, 5 5 2
41.1, 29, 4 2 2
35.6, 29, 1 0 3
38.7, 24, 2 1 3
29.4, 20, 3 2 1
38.1, 20, 4 0 2
50.4, 17, 5 4 1

# 5
Calculated powder diffractogram of BaCe for Cu Ka, from a structure optimized by DFT (GGA-PBE).

Crystal structure
a b c (Å): 3.8851 3.8851 6.5744
angles (deg): 90.00 90.00 120.00
Space group P-6m2 (No. 187)
Inequivalent atoms, fractional coordinates:
Ba  0.0000  0.0000  0.0000 (multiplicity 1)
Ce  0.6667  0.3333  0.5000 (multiplicity 1)

Top 10 peaks for 10° ≤ 2θ ≤ 80°, by intensity:
2theta, Rel. int., hkl
29.8, 100, 1 0 1
27.1, 28, 0 0 2
49.6, 24, 1 0 3
54.9, 24, 1 1 2
26.5, 23, 1 0 0
46.8, 19, 1 1 0
38.3, 17, 1 0 2
56.5, 16, 2 0 1
76.3, 14, 2 1 1
75.8, 9, 1 1 4

# 6
Calculated powder diffractogram of Cs2BaCe3S8 for Cu Ka, from a structure optimized by DFT (GGA-PBE).

Crystal structure
a b c (Å): 8.4829 8.4829 23.9621
angles (deg): 90.00 90.00 120.00
Space group R3m (No. 160, hexagonal axes)
Inequivalent atoms, fractional coordinates:
Cs  0.0000  0.0000  0.0000 (multiplicity 3)
Cs  0.0000  0.0000  0.3638 (multiplicity 3)
Ba  0.0000  0.0000  0.6098 (multiplicity 3)
Ce  0.1675  0.3351  0.8300 (multiplicity 9)
S  0.0000  0.0000  0.2218 (multiplicity 3)
S  0.0000  0.0000  0.7668 (multiplicity 3)
S  0.0343  0.5171  0.7753 (multiplicity 9)
S  0.1848  0.3695  0.5580 (multiplicity 9)

Top 10 peaks for 10° ≤ 2θ ≤ 80°, by intensity:
2theta, Rel. int., hkl
23.8, 100, 1 1 3
42.6, 57, 2 2 0
22.1, 56, 0 1 5
38.8, 52, 2 0 8
24.5, 44, 0 2 1
28.5, 42, 0 2 4
35.9, 39, 0 2 7
37.4, 38, 1 2 5
19.1, 35, 1 0 4
48.6, 33, 3 1 5

# 7
Calculated powder diffractogram of Cs2BaCe3Se8 for Cu Ka, from a structure optimized by DFT (GGA-PBE).

Crystal structure
a b c (Å): 8.8221 8.8221 24.8430
angles (deg): 90.00 90.00 120.00
Space group R3m (No. 160, hexagonal axes)
Inequivalent atoms, fractional coordinates:
Cs  0.0000  0.0000  0.0000 (multiplicity 3)
Cs  0.0000  0.0000  0.3631 (multiplicity 3)
Ba  0.0000  0.0000  0.6167 (multiplicity 3)
Ce  0.1674  0.3348  0.8305 (multiplicity 9)
Se  0.0000  0.0000  0.2232 (multiplicity 3)
Se  0.0000  0.0000  0.7651 (multiplicity 3)
Se  0.0322  0.5161  0.7742 (multiplicity 9)
Se  0.1822  0.3644  0.5594 (multiplicity 9)

Top 10 peaks for 10° ≤ 2θ ≤ 80°, by intensity:
2theta, Rel. int., hkl
22.8, 100, 1 1 3
27.4, 98, 0 2 4
40.9, 98, 2 2 0
34.5, 82, 0 2 7
37.3, 70, 2 0 8
10.7, 61, 0 0 3
21.3, 41, 0 1 5
36.0, 39, 1 2 5
18.4, 35, 1 0 4
36.9, 34, 0 3 3

# 8
Calculated powder diffractogram of Ba4CeEu3Tl2Cu4O18 for Cu Ka, from a structure optimized by DFT (GGA-PBE).

Crystal structure
a b c (Å): 3.900 7.770 15.918
angles (deg): 83.11 82.98 90.00
Space group P1 (No. 1)
Inequivalent atoms, fractional coordinates:
Ba  0.000  0.000  0.000 (multiplicity 1)
Ba  0.000  0.500  0.000 (multiplicity 1)
Ba  0.171  0.084  0.660 (multiplicity 1)
Ba  0.172  0.584  0.660 (multiplicity 1)
Ce  0.296  0.646  0.410 (multiplicity 1)
Eu  0.295  0.145  0.412 (multiplicity 1)
Eu  0.877  0.940  0.247 (multiplicity 1)
Eu  0.878  0.437  0.247 (multiplicity 1)
Tl  0.651  0.292  0.830 (multiplicity 1)
Tl  0.651  0.792  0.830 (multiplicity 1)
Cu  0.434  0.218  0.130 (multiplicity 1)
Cu  0.434  0.718  0.131 (multiplicity 1)
Cu  0.737  0.366  0.529 (multiplicity 1)
Cu  0.737  0.867  0.529 (multiplicity 1)
O  0.243  0.374  0.517 (multiplicity 1)
O  0.243  0.864  0.517 (multiplicity 1)
O  0.335  0.425  0.332 (multiplicity 1)
O  0.335  0.908  0.332 (multiplicity 1)
O  0.430  0.465  0.143 (multiplicity 1)
O  0.430  0.965  0.143 (multiplicity 1)
O  0.503  0.258  0.965 (multiplicity 1)
O  0.503  0.758  0.966 (multiplicity 1)
O  0.640  0.326  0.694 (multiplicity 1)
O  0.640  0.825  0.694 (multiplicity 1)
O  0.744  0.119  0.518 (multiplicity 1)
O  0.745  0.620  0.515 (multiplicity 1)
O  0.834  0.666  0.336 (multiplicity 1)
O  0.836  0.165  0.330 (multiplicity 1)
O  0.928  0.715  0.144 (multiplicity 1)
O  0.929  0.215  0.141 (multiplicity 1)
O  0.988  0.542  0.830 (multiplicity 1)
O  0.989  0.042  0.830 (multiplicity 1)

Top 10 peaks for 10° ≤ 2θ ≤ 80°, by intensity:
2theta, Rel. int., hkl
30.4, 100, 0 2 -3
32.5, 63, 1 2 1
30.5, 33, 0 2 4
43.8, 24, 1 2 -4
52.7, 23, 1 2 -6
56.8, 23, 1 4 -2
24.4, 21, 1 0 2
56.7, 21, 2 -2 4
46.8, 18, 0 4 1
46.6, 16, 2 0 1

# 9
Calculated powder diffractogram of Ba3CeCu2O6 for Cu Ka, from a structure optimized by DFT (GGA-PBE).

Crystal structure
a b c (Å): 6.2073 6.2073 6.9365
angles (deg): 90.00 90.00 120.00
Space group P-3m1 (No. 164)
Inequivalent atoms, fractional coordinates:
Ba  0.0000  0.0000  0.0000 (multiplicity 1)
Ba  0.3333  0.6667  0.6540 (multiplicity 2)
Ce  0.0000  0.0000  0.5000 (multiplicity 1)
Cu  0.3333  0.6667  0.2027 (multiplicity 2)
O  0.1647  0.3294  0.3023 (multiplicity 6)

Top 10 peaks for 10° ≤ 2θ ≤ 80°, by intensity:
2theta, Rel. int., hkl
28.8, 100, 1 1 0
30.7, 83, 0 1 2
42.6, 51, 2 0 2
52.2, 39, 1 2 2
51.0, 20, 3 0 0
59.6, 17, 2 2 0
68.5, 16, 3 1 2
71.5, 14, 2 1 4
55.7, 13, 1 0 4
12.8, 13, 0 0 1

# 10
Calculated powder diffractogram of Ba2CeDyS6 for Cu Ka, from a structure optimized by DFT (GGA-PBE).

Crystal structure
a b c (Å): 7.242 7.599 12.672
angles (deg): 90.00 124.44 90.00
Space group P2_1/c (No. 14)
Inequivalent atoms, fractional coordinates:
Ba  0.228  0.065  0.249 (multiplicity 4)
Ce  0.500  0.000  0.000 (multiplicity 2)
Dy  0.000  0.000  0.500 (multiplicity 2)
S  0.156  0.205  0.954 (multiplicity 4)
S  0.251  0.707  0.953 (multiplicity 4)
S  0.339  0.023  0.750 (multiplicity 4)

Top 10 peaks for 10° ≤ 2θ ≤ 80°, by intensity:
2theta, Rel. int., hkl
24.0, 100, 1 1 1
24.1, 99, 1 1 -3
34.2, 64, 2 2 -2
24.6, 47, 2 0 -2
23.4, 44, 0 2 0
42.8, 44, 3 1 -1
34.3, 42, 0 0 4
43.1, 31, 3 1 -5
41.5, 28, 1 3 1
42.0, 26, 0 2 4

# 11
Calculated powder diffractogram of BaCeDy4Se8 for Cu Ka, from a structure optimized by DFT (GGA-PBE).

Crystal structure
a b c (Å): 8.6113 8.6113 21.4871
angles (deg): 90.00 90.00 120.00
Space group R3m (No. 160, hexagonal axes)
Inequivalent atoms, fractional coordinates:
Ba  0.0000  0.0000  0.0000 (multiplicity 3)
Ce  0.0000  0.0000  0.6273 (multiplicity 3)
Dy  0.0000  0.0000  0.2521 (multiplicity 3)
Dy  0.1684  0.3368  0.4596 (multiplicity 9)
Se  0.0000  0.0000  0.3838 (multiplicity 3)
Se  0.0000  0.0000  0.8591 (multiplicity 3)
Se  0.0417  0.5208  0.3858 (multiplicity 9)
Se  0.1728  0.3456  0.2046 (multiplicity 9)

Top 10 peaks for 10° ≤ 2θ ≤ 80°, by intensity:
2theta, Rel. int., hkl
29.2, 100, 0 2 4
42.0, 96, 2 2 0
41.4, 95, 2 0 8
24.1, 89, 1 1 3
24.2, 47, 0 2 1
38.2, 43, 1 2 5
23.9, 42, 0 1 5
38.0, 34, 0 2 7
20.4, 30, 1 0 4
38.3, 30, 0 3 3

# 12
Calculated powder diffractogram of BaCe4EuO12 for Cu Ka, from a structure optimized by DFT (GGA-PBE).

Crystal structure
a b c (Å): 8.762 9.054 8.358
angles (deg): 90.00 90.00 90.00
Space group Amm2 (No. 38)
Inequivalent atoms, fractional coordinates:
Ba  0.000  0.000  0.000 (multiplicity 2)
Ce  0.255  0.229  0.313 (multiplicity 8)
Eu  0.500  0.000  0.616 (multiplicity 2)
O  0.000  0.233  0.311 (multiplicity 4)
O  0.235  0.187  0.058 (multiplicity 8)
O  0.261  0.000  0.759 (multiplicity 4)
O  0.318  0.000  0.403 (multiplicity 4)
O  0.500  0.211  0.766 (multiplicity 4)

Top 10 peaks for 10° ≤ 2θ ≤ 80°, by intensity:
2theta, Rel. int., hkl
28.3, 100, 2 2 0
17.6, 88, 1 1 1
29.1, 87, 0 2 2
29.5, 73, 2 0 2
51.2, 38, 4 2 2
50.4, 34, 2 4 2
41.2, 32, 4 0 0
39.8, 28, 0 4 0
21.3, 27, 0 0 2
49.1, 26, 2 3 3